1.
# PrDy2Zn2Si4Au2
Simulated XRD peak list, Cu Kα. Input: DFT lattice parameters and positions (GGA-PBE).

Structure:
```
data_PrDy2Zn2Si4Au2
_chemical_formula_sum 'Pr2 Dy4 Zn4 Si8 Au4'
_symmetry_space_group_name_H-M 'I m m m'
_symmetry_Int_Tables_number 71
_symmetry_space_group_name_Hall '-I 2 2'
_cell_length_a 4.184
_cell_length_b 4.199
_cell_length_c 24.663
_cell_angle_alpha 90.00
_cell_angle_beta 90.00
_cell_angle_gamma 90.00
loop_
_atom_site_label
_atom_site_type_symbol
_atom_site_fract_x
_atom_site_fract_y
_atom_site_fract_z
Pr1 Pr 0.000 0.000 0.000
Dy1 Dy 0.000 0.500 0.145
Zn1 Zn 0.000 0.500 0.405
Si1 Si 0.000 0.000 0.452
Si2 Si 0.000 0.500 0.311
Au1 Au 0.000 0.000 0.252
```

The 12 most intense peaks (2θ = 10–90°), in order of rising 2θ:
two_theta	Rel. int.	h k l
23.8	16	0 1 3
29.0	15	0 0 8
33.2	25	1 0 7
33.6	100	1 1 4
37.4	14	1 1 6
43.1	18	0 2 0
43.2	18	2 0 0
45.9	12	0 1 11
55.5	11	1 2 7
62.7	12	2 2 0
72.9	13	1 3 4
73.1	11	3 1 4

---

2.
# GdTmBC2
Simulated XRD peak list, Cu Kα. Input: DFT lattice parameters and positions (GGA-PBE).

Structure:
```
data_GdTmBC2
_chemical_formula_sum 'Gd2 Tm2 B2 C4'
_symmetry_space_group_name_H-M 'I 4 m m'
_symmetry_Int_Tables_number 107
_symmetry_space_group_name_Hall 'I 4 -2'
_cell_length_a 3.613
_cell_length_b 3.613
_cell_length_c 10.958
_cell_angle_alpha 90.00
_cell_angle_beta 90.00
_cell_angle_gamma 90.00
loop_
_atom_site_label
_atom_site_type_symbol
_atom_site_fract_x
_atom_site_fract_y
_atom_site_fract_z
Gd1 Gd 0.000 0.000 0.000
Tm1 Tm 0.000 0.000 0.297
B1 B 0.000 0.000 0.645
C1 C 0.000 0.000 0.509
C2 C 0.000 0.000 0.781
```

The 12 most intense peaks (2θ = 10–90°), in order of rising 2θ:
two_theta	Rel. int.	h k l
26.0	70	1 0 1
32.7	27	0 0 4
34.9	100	1 0 3
35.1	71	1 1 0
48.7	35	1 1 4
50.5	25	2 0 0
57.7	17	2 1 1
61.5	17	2 0 4
62.5	15	1 1 6
62.9	37	2 1 3
64.9	16	1 0 7
86.6	15	2 1 7

---

3.
# LaSn2IrO6
Simulated XRD peak list, Cu Kα. Input: DFT lattice parameters and positions (GGA-PBE).

Structure:
```
data_LaSn2IrO6
_chemical_formula_sum 'La2 Sn4 Ir2 O12'
_symmetry_space_group_name_H-M 'C 1 2/m 1'
_symmetry_Int_Tables_number 12
_symmetry_space_group_name_Hall '-C 2y'
_cell_length_a 9.789
_cell_length_b 5.627
_cell_length_c 6.270
_cell_angle_alpha 90.00
_cell_angle_beta 122.41
_cell_angle_gamma 90.00
loop_
_atom_site_label
_atom_site_type_symbol
_atom_site_fract_x
_atom_site_fract_y
_atom_site_fract_z
La1 La 0.000 0.000 0.000
Sn1 Sn 0.237 0.000 0.678
Ir1 Ir 0.000 0.500 0.500
O1 O 0.081 0.258 0.359
O2 O 0.218 0.500 0.804
```

The 12 most intense peaks (2θ = 10–90°), in order of rising 2θ:
two_theta	Rel. int.	h k l
16.7	27	0 0 1
21.3	15	1 1 -1
28.7	43	2 0 -2
29.1	100	1 1 1
31.7	93	3 1 -1
31.8	45	0 2 0
43.4	45	2 2 -2
43.8	20	4 0 0
54.4	16	5 1 -3
55.0	23	1 3 1
55.2	24	4 2 0
56.6	19	3 3 -1

---

4.
# Li4Bi2IrPd
Simulated XRD peak list, Cu Kα. Input: DFT lattice parameters and positions (GGA-PBE).

Structure:
```
data_Li4Bi2IrPd
_chemical_formula_sum 'Li4 Bi2 Ir1 Pd1'
_symmetry_space_group_name_H-M 'P -4 m 2'
_symmetry_Int_Tables_number 115
_symmetry_space_group_name_Hall 'P -4 -2'
_cell_length_a 4.583
_cell_length_b 4.583
_cell_length_c 6.468
_cell_angle_alpha 90.00
_cell_angle_beta 90.00
_cell_angle_gamma 90.00
loop_
_atom_site_label
_atom_site_type_symbol
_atom_site_fract_x
_atom_site_fract_y
_atom_site_fract_z
Li1 Li 0.000 0.000 0.000
Li2 Li 0.000 0.500 0.248
Li3 Li 0.500 0.500 0.500
Bi1 Bi 0.000 0.500 0.757
Ir1 Ir 0.500 0.500 0.000
Pd1 Pd 0.000 0.000 0.500
```

The 12 most intense peaks (2θ = 10–90°), in order of rising 2θ:
two_theta	Rel. int.	h k l
23.8	100	1 0 1
39.3	90	2 0 0
46.5	52	2 1 1
56.8	11	2 2 0
57.0	5	0 0 4
62.5	22	3 0 1
71.3	32	3 1 2
76.4	12	3 2 1
76.5	4	1 0 5
84.7	7	2 2 4
89.5	12	4 1 1
89.6	6	2 1 5